The following is a theoretical X-ray diffraction stick pattern of Li2FeP2O8. It was derived from a GGA+U-relaxed structure, using Cu Kα (weighted mean of Kα1 and Kα2).

```
data_Li2FeP2O8
_chemical_formula_sum 'Li4 Fe2 P4 O16'
_cell_length_a 5.103
_cell_length_b 5.103
_cell_length_c 14.375
_cell_angle_alpha 94.84
_cell_angle_beta 94.84
_cell_angle_gamma 54.93
_symmetry_space_group_name_H-M 'P 1'
_symmetry_Int_Tables_number 1
loop_
_symmetry_equiv_pos_as_xyz
'x,y,z'
loop_
_atom_site_label
_atom_site_type_symbol
_atom_site_fract_x
_atom_site_fract_y
_atom_site_fract_z
Li1 Li 0.013 0.987 0.500
Li2 Li 0.558 0.830 0.871
Li3 Li 0.830 0.558 0.371
Li4 Li 0.987 0.013 0.000
Fe1 Fe 0.618 0.691 0.663
Fe2 Fe 0.691 0.618 0.163
P1 P 0.058 0.931 0.278
P2 P 0.306 0.337 0.558
P3 P 0.337 0.306 0.058
P4 P 0.931 0.058 0.778
O1 O 0.073 0.478 0.639
O2 O 0.115 0.939 0.872
O3 O 0.120 0.536 0.472
O4 O 0.164 0.928 0.697
O5 O 0.355 0.600 0.082
O6 O 0.431 0.735 0.280
O7 O 0.434 0.976 0.545
O8 O 0.478 0.073 0.139
O9 O 0.536 0.120 0.972
O10 O 0.600 0.355 0.582
O11 O 0.684 0.970 0.760
O12 O 0.735 0.431 0.780
O13 O 0.928 0.164 0.197
O14 O 0.939 0.115 0.372
O15 O 0.970 0.684 0.260
O16 O 0.976 0.434 0.045
```

Peak list (10 most intense, 2θ from 10° to 80°, in order of rising 2θ)
| d (Å) | I (rel.) |
| --- | --- |
| 7.155 | 100 |
| 3.675 | 92 |
| 3.660 | 49 |
| 2.942 | 9 |
| 2.777 | 22 |
| 2.532 | 35 |
| 2.410 | 17 |
| 2.031 | 8 |
| 1.607 | 13 |
| 1.521 | 9 |